Ba2MnO4: computed PXRD pattern (copper Kα), based on a DFT-relaxed cell (PBE+U, the Materials Project).
Kinematic intensities with the Lorentz-polarization factor, no thermal factor.

Structure:
```
data_Ba2MnO4
_chemical_formula_sum 'Ba4 Mn2 O8'
_cell_length_a 4.0592
_cell_length_b 4.0592
_cell_length_c 13.3012
_cell_angle_alpha 90.00
_cell_angle_beta 90.00
_cell_angle_gamma 90.00
_space_group_name_H-M_alt 'I 4/m m m'
_space_group_IT_number 139
_space_group_name_Hall '-I 4 2'
loop_
_atom_site_label
_atom_site_fract_x
_atom_site_fract_y
_atom_site_fract_z
Ba1 0.0000 0.0000 0.1423
Mn1 0.0000 0.0000 0.5000
O1 0.0000 0.0000 0.3518
O2 0.0000 0.5000 0.0000
```

Largest 12 diffraction maxima, sorted by position, 2θ = 10–80°:
22.91°, I 21, (1 0 1); 26.81°, I 15, (0 0 4); 29.84°, I 100, (1 0 3); 31.16°, I 68, (1 1 0); 40.70°, I 12, (0 0 6); 41.56°, I 35, (1 1 4); 44.65°, I 35, (2 0 0); 52.13°, I 13, (1 1 6); 54.63°, I 37, (2 1 3); 61.99°, I 12, (2 0 6); 64.98°, I 11, (2 2 0); 73.82°, I 11, (3 1 0)